Record 1
The following is a simulated powder X-ray diffraction pattern of AcLa14Sn. It was derived from a PBE-relaxed structure, using Cu Kα (weighted mean of Kα1 and Kα2).

Principal peaks in the range 15° ≤ 2θ ≤ 90°, low angle first:
hkl, 2theta, I (rel.)
2 1 1, 20.8, 2
2 2 2, 29.6, 100
4 0 0, 34.4, 50
2 1 5, 47.7, 2
4 4 0, 49.4, 35
6 2 2, 58.7, 41
4 4 4, 61.6, 12
8 0 0, 72.4, 4
0 8 0, 72.5, 2
6 6 2, 80.2, 16
8 4 0, 82.7, 12
0 8 4, 82.7, 2

Structure:
Cell lengths 10.446, 10.431, 10.438 Å; angles 90.00, 90.00, 90.00 degrees
Space group Amm2 (No. 38)
Asymmetric unit:
Ac 0.000 0.000 0.000 [2 per cell]
La 0.000 0.249 0.750 [4 per cell]
La 0.243 0.000 0.265 [4 per cell]
La 0.243 0.234 0.500 [8 per cell]
La 0.244 0.000 0.734 [4 per cell]
La 0.500 0.000 0.500 [2 per cell]
La 0.500 0.000 0.999 [2 per cell]
La 0.500 0.249 0.250 [4 per cell]
Sn 0.000 0.000 0.499 [2 per cell]



Record 2
The following is a simulated powder X-ray diffraction pattern of AcLa4Sn2. It was derived from a PBE-relaxed structure, using Cu Kα (weighted mean of Kα1 and Kα2).

Principal peaks in the range 15° ≤ 2θ ≤ 90°, low angle first:
hkl, 2theta, I (rel.)
0 2 0, 26.2, 18
1 0 -3, 28.7, 100
2 0 1, 29.4, 51
1 1 -3, 31.6, 15
3 0 -2, 31.9, 25
1 2 1, 32.4, 31
0 2 2, 33.9, 17
3 1 -2, 34.5, 24
2 2 -2, 35.4, 14
1 0 4, 49.7, 16
3 3 -2, 51.8, 12
0 4 0, 53.8, 12

Structure:
Cell lengths 8.580, 6.810, 9.370 Å; angles 90.00, 116.06, 90.00 degrees
Space group P2_1/m (No. 11)
Asymmetric unit:
Ac 0.108 0.250 0.355 [2 per cell]
La 0.176 0.750 0.101 [2 per cell]
La 0.329 0.009 0.788 [4 per cell]
La 0.461 0.750 0.512 [2 per cell]
Sn 0.059 0.750 0.393 [2 per cell]
Sn 0.279 0.250 0.084 [2 per cell]



Please write out number 1 again, unchanged.
The following is a simulated powder X-ray diffraction pattern of AcLa14Sn. It was derived from a PBE-relaxed structure, using Cu Kα (weighted mean of Kα1 and Kα2).

Principal peaks in the range 15° ≤ 2θ ≤ 90°, low angle first:
hkl, 2theta, I (rel.)
2 1 1, 20.8, 2
2 2 2, 29.6, 100
4 0 0, 34.4, 50
2 1 5, 47.7, 2
4 4 0, 49.4, 35
6 2 2, 58.7, 41
4 4 4, 61.6, 12
8 0 0, 72.4, 4
0 8 0, 72.5, 2
6 6 2, 80.2, 16
8 4 0, 82.7, 12
0 8 4, 82.7, 2

Structure:
Cell lengths 10.446, 10.431, 10.438 Å; angles 90.00, 90.00, 90.00 degrees
Space group Amm2 (No. 38)
Asymmetric unit:
Ac 0.000 0.000 0.000 [2 per cell]
La 0.000 0.249 0.750 [4 per cell]
La 0.243 0.000 0.265 [4 per cell]
La 0.243 0.234 0.500 [8 per cell]
La 0.244 0.000 0.734 [4 per cell]
La 0.500 0.000 0.500 [2 per cell]
La 0.500 0.000 0.999 [2 per cell]
La 0.500 0.249 0.250 [4 per cell]
Sn 0.000 0.000 0.499 [2 per cell]



What did the second record say?
The following is a simulated powder X-ray diffraction pattern of AcLa4Sn2. It was derived from a PBE-relaxed structure, using Cu Kα (weighted mean of Kα1 and Kα2).

Principal peaks in the range 15° ≤ 2θ ≤ 90°, low angle first:
hkl, 2theta, I (rel.)
0 2 0, 26.2, 18
1 0 -3, 28.7, 100
2 0 1, 29.4, 51
1 1 -3, 31.6, 15
3 0 -2, 31.9, 25
1 2 1, 32.4, 31
0 2 2, 33.9, 17
3 1 -2, 34.5, 24
2 2 -2, 35.4, 14
1 0 4, 49.7, 16
3 3 -2, 51.8, 12
0 4 0, 53.8, 12

Structure:
Cell lengths 8.580, 6.810, 9.370 Å; angles 90.00, 116.06, 90.00 degrees
Space group P2_1/m (No. 11)
Asymmetric unit:
Ac 0.108 0.250 0.355 [2 per cell]
La 0.176 0.750 0.101 [2 per cell]
La 0.329 0.009 0.788 [4 per cell]
La 0.461 0.750 0.512 [2 per cell]
Sn 0.059 0.750 0.393 [2 per cell]
Sn 0.279 0.250 0.084 [2 per cell]